The following is a theoretical powder diffraction line list of PdS2. It was derived from a crystal structure in Alexandria, relaxed with GGA-PBE, using a wavelength of 1.5418 Å.
Peak positions follow from Bragg's law for the DFT cell and can differ from measured ones.

abc: 5.4997 5.5905 8.3538
angles: 90.00 90.00 90.00
Space group Pbca (No. 61)
One atom of each set of equivalent atoms:
1 Pd 0.0000 0.0000 0.0000
2 S 0.1044 0.1104 0.4245

Main lines, by angle (5° ≤ 2θ ≤ 70°):
2theta  Rel. int.
21.27  100.0
25.09  59.4
32.02  22.8
32.56  23.6
38.76  24.6
39.22  24.9
39.70  36.4
51.50  19.5
53.03  24.8
53.75  22.0

The following is a theoretical powder diffraction line list of Mn2VRu5. It was derived from a crystal structure in Alexandria, relaxed with GGA-PBE, using a wavelength of 1.5418 Å.
Peak positions follow from Bragg's law for the DFT cell and can differ from measured ones.

abc: 5.3769 5.3769 7.4532
angles: 90.00 90.00 90.00
Space group I4/mmm (No. 139)
One atom of each set of equivalent atoms:
1 Mn 0.0000 0.5000 0.0000
2 V 0.0000 0.0000 0.0000
3 Ru 0.0000 0.0000 0.5000
4 Ru 0.2500 0.2500 0.2500

Main lines, by angle (5° ≤ 2θ ≤ 70°):
2theta  Rel. int.
20.37  3.8
23.88  5.0
33.33  4.3
39.37  1.4
41.41  100.0
47.85  32.5
48.88  15.2
54.16  2.3
60.45  1.7
69.99  9.9

The following is a theoretical powder diffraction line list of Rb2Mg2Te3. It was derived from a crystal structure in Alexandria, relaxed with GGA-PBE, using a wavelength of 1.5418 Å.
Peak positions follow from Bragg's law for the DFT cell and can differ from measured ones.

abc: 18.4987 16.4830 7.9259
angles: 90.00 114.79 90.00
Space group C2/c (No. 15)
One atom of each set of equivalent atoms:
1 Rb 0.0000 0.0636 0.2500
2 Rb 0.0000 0.2124 0.7500
3 Rb 0.1021 0.4106 0.5748
4 Mg 0.1944 0.2320 0.2636
5 Mg 0.2252 0.0765 0.7997
6 Te 0.1155 0.3727 0.0758
7 Te 0.1474 0.2050 0.5575
8 Te 0.1699 0.0741 0.0877

Main lines, by angle (5° ≤ 2θ ≤ 70°):
2theta  Rel. int.
21.16  29.9
22.30  71.6
22.44  29.3
23.74  23.4
24.93  100.0
27.09  45.2
29.12  82.5
30.87  34.6
37.78  30.1
40.94  22.6

The following is a theoretical powder diffraction line list of YSe2. It was derived from a crystal structure in Alexandria, relaxed with GGA-PBE, using a wavelength of 1.5418 Å.
Peak positions follow from Bragg's law for the DFT cell and can differ from measured ones.

abc: 4.0724 4.0724 8.3751
angles: 90.00 90.00 90.00
Space group P4/nmm (No. 129, origin choice 2)
One atom of each set of equivalent atoms:
1 Y 0.2500 0.2500 0.2263
2 Se 0.2500 0.2500 0.8703
3 Se 0.2500 0.7500 0.5000

Main lines, by angle (5° ≤ 2θ ≤ 70°):
2theta  Rel. int.
30.62  15.5
31.06  22.0
32.06  39.7
32.89  100.0
37.92  90.0
39.12  49.7
44.49  60.6
55.89  31.6
60.72  26.5
64.75  19.4

The following is a theoretical powder diffraction line list of Zr4WC5. It was derived from a crystal structure in Alexandria, relaxed with GGA-PBE, using a wavelength of 1.5418 Å.
Peak positions follow from Bragg's law for the DFT cell and can differ from measured ones.

abc: 3.2885 3.2885 40.2370
angles: 90.00 90.00 120.00
Space group R-3m (No. 166, hexagonal axes)
One atom of each set of equivalent atoms:
1 Zr 0.0000 0.0000 0.1020
2 Zr 0.0000 0.0000 0.2993
3 W 0.0000 0.0000 0.5000
4 C 0.0000 0.0000 0.0000
5 C 0.0000 0.0000 0.1958
6 C 0.0000 0.0000 0.4020

Main lines, by angle (5° ≤ 2θ ≤ 70°):
2theta  Rel. int.
6.59  34.3
13.20  7.5
19.86  2.6
31.49  2.7
33.38  100.0
36.25  2.7
38.74  72.4
43.17  2.5
55.94  47.2
66.73  41.1

The following is a theoretical powder diffraction line list of Pr2HBr5. It was derived from a crystal structure in Alexandria, relaxed with GGA-PBE, using a wavelength of 1.5418 Å.
Peak positions follow from Bragg's law for the DFT cell and can differ from measured ones.

abc: 3.7470 14.5632 20.4613
angles: 90.00 90.00 90.00
Space group Cmcm (No. 63)
One atom of each set of equivalent atoms:
1 Pr 0.0000 0.2439 0.1572
2 H 0.0000 0.2071 0.7500
3 Br 0.0000 0.1126 0.6184
4 Br 0.0000 0.3542 0.5728
5 Br 0.0000 0.3921 0.7500

Main lines, by angle (5° ≤ 2θ ≤ 70°):
2theta  Rel. int.
12.15  94.4
17.34  53.8
21.23  25.7
24.96  32.5
28.91  19.0
30.45  100.0
32.98  70.5
36.09  49.9
39.43  36.8
39.59  27.2

The following is a theoretical powder diffraction line list of Tm6GaNi. It was derived from a crystal structure in Alexandria, relaxed with GGA-PBE, using a wavelength of 1.5418 Å.
Peak positions follow from Bragg's law for the DFT cell and can differ from measured ones.

abc: 6.5994 11.2162 6.5356
angles: 90.00 113.32 90.00
Space group C2/m (No. 12)
One atom of each set of equivalent atoms:
1 Tm 0.2300 0.1895 0.2446
2 Tm 0.2352 0.0000 0.7675
3 Ga 0.0000 0.5000 0.5000
4 Ni 0.0000 0.0000 0.0000

Main lines, by angle (5° ≤ 2θ ≤ 70°):
2theta  Rel. int.
28.90  87.1
29.48  46.1
29.77  46.8
31.92  13.7
32.64  61.4
34.54  100.0
48.06  35.8
48.45  37.1
48.71  13.6
50.57  18.4

The following is a theoretical powder diffraction line list of EuDy. It was derived from a crystal structure in Alexandria, relaxed with GGA-PBE, using a wavelength of 1.5418 Å.
Peak positions follow from Bragg's law for the DFT cell and can differ from measured ones.

abc: 4.1321 4.1321 4.1321
angles: 90.00 90.00 90.00
Space group Pm-3m (No. 221)
One atom of each set of equivalent atoms:
1 Eu 0.0000 0.0000 0.0000
2 Dy 0.5000 0.5000 0.5000

Main lines, by angle (5° ≤ 2θ ≤ 70°):
2theta  Rel. int.
30.60  100.0
43.82  18.8
54.39  39.7
63.70  12.3

The following is a theoretical powder diffraction line list of Cs2CeAlSe4. It was derived from a crystal structure in Alexandria, relaxed with GGA-PBE, using a wavelength of 1.5418 Å.
Peak positions follow from Bragg's law for the DFT cell and can differ from measured ones.

abc: 8.8034 9.1150 12.7533
angles: 90.00 90.00 90.00
Space group Imma (No. 74)
One atom of each set of equivalent atoms:
1 Cs 0.0000 0.0000 0.0000
2 Cs 0.2500 0.2500 0.2500
3 Ce 0.0000 0.0000 0.5000
4 Al 0.2500 0.2500 0.7500
5 Se 0.0000 0.0613 0.7343
6 Se 0.2127 0.2500 0.5311

Main lines, by angle (5° ≤ 2θ ≤ 70°):
2theta  Rel. int.
23.50  12.2
27.98  51.5
28.19  100.0
30.84  19.2
39.55  14.8
40.14  65.3
41.01  17.7
47.14  12.3
49.14  13.4
50.38  17.2

The following is a theoretical powder diffraction line list of NpReN4. It was derived from a crystal structure in Alexandria, relaxed with GGA-PBE, using a wavelength of 1.5418 Å.
Peak positions follow from Bragg's law for the DFT cell and can differ from measured ones.

abc: 5.1724 4.9341 6.0263
angles: 90.00 90.00 90.00
Space group Pnc2 (No. 30)
One atom of each set of equivalent atoms:
1 Np 0.0000 0.0000 0.0000
2 Re 0.5000 0.0000 0.3571
3 N 0.1919 0.2055 0.2729
4 N 0.3463 0.7445 0.0453

Main lines, by angle (5° ≤ 2θ ≤ 70°):
2theta  Rel. int.
23.30  22.3
29.07  100.0
34.45  20.9
34.69  16.8
36.42  13.3
48.96  14.4
51.00  18.6
51.17  14.7
58.76  14.6
61.39  14.7

The following is a theoretical powder diffraction line list of RbNaLiAs. It was derived from a crystal structure in Alexandria, relaxed with GGA-PBE, using a wavelength of 1.5418 Å.
Peak positions follow from Bragg's law for the DFT cell and can differ from measured ones.

abc: 4.7785 4.7785 18.9138
angles: 90.00 90.00 120.00
Space group R3m (No. 160, hexagonal axes)
One atom of each set of equivalent atoms:
1 Rb 0.0000 0.0000 0.0000
2 Na 0.0000 0.0000 0.8178
3 Li 0.0000 0.0000 0.5368
4 As 0.0000 0.0000 0.2032

Main lines, by angle (5° ≤ 2θ ≤ 70°):
2theta  Rel. int.
21.99  100.0
28.31  22.4
28.67  50.8
32.06  82.4
37.65  59.0
44.04  18.8
47.77  30.8
50.26  22.5
53.25  17.2
64.46  20.9

The following is a theoretical powder diffraction line list of LaSm3Y2As6. It was derived from a crystal structure in Alexandria, relaxed with GGA-PBE, using a wavelength of 1.5418 Å.
Peak positions follow from Bragg's law for the DFT cell and can differ from measured ones.

abc: 7.2979 12.6390 7.2998
angles: 90.00 109.47 90.00
Space group C2/m (No. 12)
One atom of each set of equivalent atoms:
1 La 0.0000 0.0000 0.0000
2 Sm 0.0000 0.1653 0.5000
3 Sm 0.0000 0.5000 0.5000
4 Y 0.0000 0.3329 0.0000
5 As 0.2427 0.5000 0.2482
6 As 0.2468 0.3300 0.7506

Main lines, by angle (5° ≤ 2θ ≤ 70°):
2theta  Rel. int.
12.86  2.4
24.78  1.8
25.90  11.6
29.99  100.0
32.75  0.9
42.93  74.4
50.82  5.7
53.25  26.2
62.33  12.1
68.65  2.3

The following is a theoretical powder diffraction line list of CaRuAu2. It was derived from a crystal structure in Alexandria, relaxed with GGA-PBE, using a wavelength of 1.5418 Å.
Peak positions follow from Bragg's law for the DFT cell and can differ from measured ones.

abc: 6.4150 6.4280 3.6317
angles: 90.00 90.00 90.00
Space group Cmmm (No. 65)
One atom of each set of equivalent atoms:
1 Ca 0.0000 0.0000 0.0000
2 Ru 0.0000 0.5000 0.0000
3 Au 0.2500 0.2500 0.5000

Main lines, by angle (5° ≤ 2θ ≤ 70°):
2theta  Rel. int.
24.51  15.1
27.79  22.6
37.38  100.0
39.70  42.3
47.21  11.6
50.24  10.7
57.34  7.2
57.46  7.2
58.38  6.3
65.86  19.0